Starting from the PBE geometry in the Materials Project, the X-ray powder pattern of Cs2NaAu3C6N6 was calculated for λ = 1.5418 Å (Cu Kα).
Lines closer than 0.1° are merged.

Principal peaks in the range 15° ≤ 2θ ≤ 90°, in order of falling intensity:
28.62 deg, d 3.119, I 100; 20.15 deg, d 4.407, I 63; 37.47 deg, d 2.400, I 58; 26.24 deg, d 3.396, I 47; 19.28 deg, d 4.605, I 30; 28.20 deg, d 3.164, I 27; 49.92 deg, d 1.827, I 24; 29.09 deg, d 3.070, I 19

Structural model:
```
Cs2NaAu3C6N6
1.0
7.308 0.000 0.000
-3.654 6.329 0.000
0.000 0.000 18.418
Cs Na Au C N
4 2 6 12 12
direct
0.333 0.667 0.055
0.333 0.667 0.445
0.667 0.333 0.555
0.667 0.333 0.945
0.000 0.000 0.000
0.000 0.000 0.500
0.174 0.348 0.750
0.174 0.826 0.750
0.348 0.174 0.250
0.652 0.826 0.750
0.826 0.174 0.250
0.826 0.652 0.250
0.170 0.339 0.642
0.170 0.339 0.858
0.170 0.830 0.642
0.170 0.830 0.858
0.339 0.170 0.142
0.339 0.170 0.358
0.661 0.830 0.642
0.661 0.830 0.858
0.830 0.170 0.142
0.830 0.170 0.358
0.830 0.661 0.142
0.830 0.661 0.358
0.163 0.327 0.578
0.163 0.327 0.922
0.163 0.837 0.578
0.163 0.837 0.922
0.327 0.163 0.078
0.327 0.163 0.422
0.673 0.837 0.578
0.673 0.837 0.922
0.837 0.163 0.078
0.837 0.163 0.422
0.837 0.673 0.078
0.837 0.673 0.422
```

=====

Starting from the PBE geometry in the Materials Project, the X-ray powder pattern of Sr2PrNbO6 was calculated for λ = 1.5418 Å (Cu Kα).
Lines closer than 0.1° are merged.

Principal peaks in the range 15° ≤ 2θ ≤ 90°, in order of falling intensity:
29.19 deg, d 3.059, I 100; 51.76 deg, d 1.766, I 40; 41.76 deg, d 2.163, I 33; 83.63 deg, d 1.156, I 21; 60.53 deg, d 1.530, I 20; 68.60 deg, d 1.368, I 18; 20.53 deg, d 4.326, I 8; 76.24 deg, d 1.249, I 7

Structural model:
```
Sr2PrNbO6
1.0
0.000 4.326 4.326
4.326 0.000 4.326
4.326 4.326 0.000
Sr Pr Nb O
2 1 1 6
direct
0.250 0.250 0.250
0.750 0.750 0.750
0.000 0.000 0.000
0.500 0.500 0.500
0.268 0.268 0.732
0.268 0.732 0.268
0.268 0.732 0.732
0.732 0.268 0.268
0.732 0.268 0.732
0.732 0.732 0.268
```

=====

Starting from the PBE geometry in the Materials Project, the X-ray powder pattern of LiSbP4O12 was calculated for λ = 1.5418 Å (Cu Kα).
Lines closer than 0.1° are merged.

Principal peaks in the range 15° ≤ 2θ ≤ 90°, in order of falling intensity:
22.72 deg, d 3.914, I 100; 23.85 deg, d 3.731, I 58; 29.88 deg, d 2.990, I 52; 20.33 deg, d 4.368, I 46; 24.45 deg, d 3.641, I 35; 32.86 deg, d 2.726, I 33; 31.60 deg, d 2.831, I 32; 21.88 deg, d 4.063, I 25

Structural model:
```
LiSbP4O12
1.0
5.570 0.000 0.000
0.000 14.208 0.000
-0.787 0.000 7.462
Li Sb P O
2 2 8 24
direct
0.181 0.000 0.108
0.819 0.500 0.892
0.014 0.236 0.516
0.986 0.736 0.484
0.279 0.813 0.887
0.385 0.167 0.915
0.469 0.595 0.434
0.495 0.381 0.436
0.505 0.881 0.564
0.531 0.095 0.566
0.615 0.667 0.085
0.721 0.313 0.113
0.122 0.744 0.773
0.155 0.203 0.813
0.160 0.891 0.977
0.217 0.600 0.490
0.233 0.371 0.469
0.318 0.830 0.440
0.339 0.155 0.463
0.370 0.104 0.071
0.427 0.990 0.547
0.447 0.758 0.037
0.451 0.614 0.223
0.483 0.856 0.770
0.517 0.356 0.230
0.549 0.114 0.777
0.553 0.258 0.963
0.573 0.490 0.453
0.630 0.604 0.929
0.661 0.655 0.537
0.682 0.330 0.560
0.767 0.871 0.531
0.783 0.100 0.510
0.840 0.391 0.023
0.845 0.703 0.187
0.878 0.244 0.227
```

=====

Starting from the PBE geometry in the Materials Project, the X-ray powder pattern of Y2TiO5 was calculated for λ = 1.5418 Å (Cu Kα).
Lines closer than 0.1° are merged.

Principal peaks in the range 15° ≤ 2θ ≤ 90°, in order of falling intensity:
29.49 deg, d 3.029, I 100; 48.95 deg, d 1.861, I 82; 29.14 deg, d 3.064, I 76; 33.80 deg, d 2.652, I 29; 25.03 deg, d 3.558, I 23; 58.02 deg, d 1.590, I 20; 55.18 deg, d 1.664, I 17; 71.76 deg, d 1.315, I 11

Structural model:
```
Y2TiO5
1.0
10.447 0.000 0.000
0.000 3.719 0.000
0.000 0.000 11.351
Y Ti O
8 4 20
direct
0.115 0.250 0.223
0.136 0.250 0.556
0.364 0.750 0.056
0.385 0.750 0.723
0.615 0.250 0.277
0.636 0.250 0.944
0.864 0.750 0.444
0.885 0.750 0.777
0.174 0.250 0.880
0.326 0.750 0.380
0.674 0.250 0.620
0.826 0.750 0.120
0.006 0.750 0.605
0.007 0.250 0.845
0.224 0.250 0.042
0.236 0.750 0.883
0.243 0.750 0.229
0.257 0.250 0.729
0.264 0.250 0.383
0.276 0.750 0.542
0.493 0.750 0.345
0.494 0.250 0.105
0.506 0.750 0.895
0.507 0.250 0.655
0.724 0.250 0.458
0.736 0.750 0.617
0.743 0.750 0.271
0.757 0.250 0.771
0.764 0.250 0.117
0.776 0.750 0.958
0.993 0.750 0.155
0.994 0.250 0.395
```

=====

Starting from the PBE geometry in the Materials Project, the X-ray powder pattern of TmTl was calculated for λ = 1.5418 Å (Cu Kα).
Lines closer than 0.1° are merged.

Principal peaks in the range 15° ≤ 2θ ≤ 90°, in order of falling intensity:
33.69 deg, d 2.660, I 100; 60.26 deg, d 1.536, I 38; 48.39 deg, d 1.881, I 18; 80.79 deg, d 1.190, I 17; 70.85 deg, d 1.330, I 12; 23.65 deg, d 3.762, I 1

Structural model:
```
TmTl
1.0
3.762 0.000 0.000
0.000 3.762 0.000
0.000 0.000 3.762
Tm Tl
1 1
direct
0.000 0.000 0.000
0.500 0.500 0.500
```

=====

Starting from the PBE geometry in the Materials Project, the X-ray powder pattern of NbCr3Ag2S8 was calculated for λ = 1.5418 Å (Cu Kα).
Lines closer than 0.1° are merged.

Principal peaks in the range 15° ≤ 2θ ≤ 90°, in order of falling intensity:
20.65 deg, d 4.302, I 100; 52.74 deg, d 1.736, I 76; 40.33 deg, d 2.236, I 66; 40.59 deg, d 2.223, I 60; 36.12 deg, d 2.487, I 49; 52.95 deg, d 1.729, I 44; 28.07 deg, d 3.179, I 44; 20.78 deg, d 4.275, I 40

Structural model:
```
NbCr3Ag2S8
1.0
6.000 0.000 0.000
-0.032 6.941 0.000
-0.053 -0.118 13.287
Nb Cr Ag S
2 6 4 16
direct
0.000 0.000 0.000
0.494 0.789 0.501
0.003 0.528 0.000
0.005 0.018 0.499
0.006 0.520 0.499
0.501 0.269 0.998
0.502 0.773 0.000
0.506 0.263 0.501
0.133 0.287 0.752
0.455 0.280 0.250
0.523 0.758 0.746
0.844 0.751 0.247
0.160 0.771 0.393
0.168 0.280 0.099
0.173 0.268 0.403
0.178 0.768 0.108
0.325 0.028 0.610
0.334 0.516 0.900
0.337 0.508 0.602
0.340 0.018 0.893
0.661 0.019 0.107
0.668 0.511 0.399
0.669 0.527 0.099
0.679 0.019 0.391
0.826 0.764 0.891
0.839 0.278 0.901
0.842 0.772 0.602
0.845 0.270 0.596
```

=====

Starting from the PBE geometry in the Materials Project, the X-ray powder pattern of Na7U5Si4O24 was calculated for λ = 1.5418 Å (Cu Kα).
Lines closer than 0.1° are merged.

Principal peaks in the range 15° ≤ 2θ ≤ 90°, in order of falling intensity:
15.96 deg, d 5.553, I 100; 29.18 deg, d 3.060, I 77; 28.36 deg, d 3.147, I 77; 19.71 deg, d 4.503, I 74; 31.06 deg, d 2.880, I 64; 31.80 deg, d 2.814, I 63; 30.20 deg, d 2.959, I 61; 18.71 deg, d 4.744, I 56

Structural model:
```
Na7U5Si4O24
1.0
6.875 0.000 0.000
-0.103 7.010 0.000
-1.747 -1.199 11.838
Na U Si O
7 5 4 24
direct
0.000 0.000 0.000
0.250 0.490 0.009
0.259 0.510 0.558
0.265 0.013 0.553
0.735 0.987 0.447
0.741 0.490 0.442
0.750 0.510 0.991
0.058 0.709 0.273
0.329 0.214 0.280
0.500 0.000 0.000
0.671 0.786 0.720
0.942 0.291 0.727
0.149 0.805 0.764
0.489 0.283 0.770
0.511 0.717 0.230
0.851 0.195 0.236
0.001 0.384 0.259
0.009 0.034 0.279
0.011 0.693 0.111
0.109 0.726 0.433
0.237 0.856 0.899
0.268 0.288 0.701
0.307 0.152 0.105
0.334 0.784 0.693
0.358 0.257 0.442
0.374 0.529 0.246
0.383 0.893 0.284
0.485 0.263 0.906
0.515 0.737 0.094
0.617 0.107 0.716
0.626 0.471 0.754
0.642 0.743 0.558
0.666 0.216 0.307
0.693 0.848 0.895
0.732 0.712 0.299
0.763 0.144 0.101
0.891 0.274 0.567
0.989 0.307 0.889
0.991 0.966 0.721
0.999 0.616 0.741
```

=====

Question: Number 4 is which compound?
Answer: Y2TiO5